No. 1
Structure and computed PXRD pattern of TiWC2 (a cell relaxed with PBE; copper Kα).
Intensities are scaled so that the largest is 100.

Structural model:
a b c (Å): 3.0688 3.0688 15.1665
angles (deg): 90.00 90.00 120.00
Space group R-3m (No. 166, hexagonal axes)
Inequivalent atoms, fractional coordinates:
Ti (0.0000, 0.0000, 0.0000) [3 per cell]
W (0.0000, 0.0000, 0.5000) [3 per cell]
C (0.0000, 0.0000, 0.2506) [6 per cell]

The 12 most intense peaks (2θ = 10–90°), by intensity:
d = 2.508 Å, 2θ 35.80, intensity 100.0
d = 2.176 Å, 2θ 41.49, intensity 94.7
d = 5.056 Å, 2θ 17.54, intensity 76.1
d = 2.618 Å, 2θ 34.25, intensity 46.6
d = 2.528 Å, 2θ 35.51, intensity 34.1
d = 1.543 Å, 2θ 59.93, intensity 30.8
d = 1.534 Å, 2θ 60.32, intensity 30.2
d = 1.312 Å, 2θ 71.99, intensity 26.9
d = 1.999 Å, 2θ 45.37, intensity 22.2
d = 1.468 Å, 2θ 63.34, intensity 17.1
d = 1.254 Å, 2θ 75.87, intensity 15.2
d = 1.317 Å, 2θ 71.64, intensity 13.7

---

No. 2
Structure and computed PXRD pattern of Li2MgIn (a cell relaxed with PBE; copper Kα).
Intensities are scaled so that the largest is 100.

Structural model:
a b c (Å): 6.719 6.719 6.719
angles (deg): 90.00 90.00 90.00
Space group Fm-3m (No. 225)
Inequivalent atoms, fractional coordinates:
Li (0.250, 0.250, 0.250) [8 per cell]
Mg (0.000, 0.000, 0.000) [4 per cell]
In (0.000, 0.000, 0.500) [4 per cell]

The 12 most intense peaks (2θ = 10–90°), by intensity:
d = 2.376 Å, 2θ 37.87, intensity 100.0
d = 3.360 Å, 2θ 26.53, intensity 96.9
d = 3.879 Å, 2θ 22.93, intensity 86.6
d = 2.026 Å, 2θ 44.73, intensity 44.0
d = 1.502 Å, 2θ 61.74, intensity 34.0
d = 1.372 Å, 2θ 68.40, intensity 33.2
d = 1.940 Å, 2θ 46.84, intensity 26.8
d = 1.541 Å, 2θ 60.02, intensity 17.8
d = 1.680 Å, 2θ 54.64, intensity 16.7
d = 1.120 Å, 2θ 87.01, intensity 16.4
d = 1.136 Å, 2θ 85.50, intensity 13.5
d = 1.293 Å, 2θ 73.20, intensity 13.2